For KPd2, a GGA-PBE-relaxed structure gives the theoretical powder X-ray diffraction pattern in this record (Cu Kα (weighted mean of Kα1 and Kα2)).
Lines closer than 0.1° are merged.

Atomic structure:
Unit cell a=3.560 b=3.560 c=11.399 alpha=90.00 beta=90.00 gamma=90.00
Space group I4/mmm (No. 139)
Unique sites:
K1 0.000 0.000 0.000 (multiplicity 2)
Pd1 0.000 0.000 0.282 (multiplicity 4)

Most intense lines, 2θ from 10° to 90°, in order of falling intensity:
- (0 0 2), 15.55 deg, I 100
- (1 1 0), 35.67 deg, I 68
- (1 0 3), 34.53 deg, I 61
- (1 1 2), 39.12 deg, I 40
- (1 1 4), 48.24 deg, I 31
- (0 0 4), 31.39 deg, I 27
- (1 0 7), 62.75 deg, I 24
- (2 0 0), 51.33 deg, I 23
- (2 1 7), 85.25 deg, I 20
- (2 1 3), 63.34 deg, I 19
- (1 0 5), 47.35 deg, I 19
- (2 0 2), 53.97 deg, I 16